Record 1
Na2MnO4: simulated XRD peak list (Cu Kα, 1.54184 Å), based on a crystal structure in the Materials Project, relaxed with GGA+U.

Largest 12 diffraction maxima, low angle first, 5 to 70 degrees two-theta:
2θ/deg  Rel. int.
17.40  16
21.83  89
26.33  19
30.37  100
31.74  29
35.21  14
40.62  24
43.88  24
44.50  23
49.17  11
53.97  17
63.19  23

Atomic structure:
```
data_Na2MnO4
_chemical_formula_sum 'Na4 Mn2 O8'
_symmetry_space_group_name_H-M 'P 1'
_symmetry_Int_Tables_number 1
_cell_length_a 5.886
_cell_length_b 5.886
_cell_length_c 6.768
_cell_angle_alpha 90.07
_cell_angle_beta 90.07
_cell_angle_gamma 120.01
loop_
_symmetry_equiv_pos_as_xyz
'x,y,z'
loop_
_atom_site_label
_atom_site_fract_x
_atom_site_fract_y
_atom_site_fract_z
_atom_site_occupancy
Na1 0.000 0.000 0.000 1
Na2 0.000 0.000 0.500 1
Na3 0.331 0.665 0.382 1
Na4 0.665 0.331 0.882 1
Mn1 0.334 0.667 0.819 1
Mn2 0.667 0.334 0.319 1
O1 0.180 0.357 0.736 1
O2 0.182 0.824 0.735 1
O3 0.327 0.661 0.060 1
O4 0.357 0.180 0.236 1
O5 0.641 0.822 0.734 1
O6 0.661 0.327 0.560 1
O7 0.822 0.641 0.234 1
O8 0.824 0.182 0.235 1
```

Record 2
CsVSeO5: simulated XRD peak list (Cu Kα, 1.54184 Å), based on a crystal structure in the Materials Project, relaxed with GGA+U.

Largest 12 diffraction maxima, low angle first, 5 to 70 degrees two-theta:
2θ/deg  Rel. int.
21.12  28
21.95  31
23.87  46
24.01  100
24.47  42
24.64  44
25.86  33
26.22  26
26.55  70
31.70  27
40.29  23
40.81  24

Atomic structure:
```
data_CsVSeO5
_chemical_formula_sum 'Cs4 V4 Se4 O20'
_symmetry_space_group_name_H-M 'P 1'
_symmetry_Int_Tables_number 1
_cell_length_a 8.166
_cell_length_b 8.048
_cell_length_c 9.573
_cell_angle_alpha 90.00
_cell_angle_beta 92.51
_cell_angle_gamma 90.00
loop_
_symmetry_equiv_pos_as_xyz
'x,y,z'
loop_
_atom_site_label
_atom_site_fract_x
_atom_site_fract_y
_atom_site_fract_z
_atom_site_occupancy
Cs1 0.095 0.000 0.134 1
Cs2 0.375 0.229 0.614 1
Cs3 0.625 0.729 0.386 1
Cs4 0.905 0.500 0.866 1
V1 0.084 0.536 0.271 1
V2 0.427 0.673 0.766 1
V3 0.573 0.173 0.234 1
V4 0.916 0.036 0.729 1
Se1 0.121 0.740 0.555 1
Se2 0.380 0.457 0.073 1
Se3 0.620 0.957 0.927 1
Se4 0.879 0.240 0.445 1
O1 0.001 0.598 0.460 1
O2 0.029 0.306 0.335 1
O3 0.063 0.127 0.826 1
O4 0.186 0.400 0.126 1
O5 0.221 0.598 0.668 1
O6 0.246 0.665 0.291 1
O7 0.336 0.497 0.900 1
O8 0.414 0.862 0.690 1
O9 0.429 0.069 0.312 1
O10 0.467 0.257 0.060 1
O11 0.533 0.757 0.940 1
O12 0.571 0.569 0.688 1
O13 0.586 0.362 0.310 1
O14 0.664 0.997 0.100 1
O15 0.754 0.165 0.709 1
O16 0.779 0.098 0.332 1
O17 0.814 0.900 0.874 1
O18 0.937 0.627 0.174 1
O19 0.971 0.806 0.665 1
O20 0.999 0.098 0.540 1
```

Record 3
Cr2BP3O12: simulated XRD peak list (Cu Kα, 1.54184 Å), based on a crystal structure in the Materials Project, relaxed with GGA+U.

Largest 12 diffraction maxima, low angle first, 5 to 70 degrees two-theta:
2θ/deg  Rel. int.
12.64  48
21.98  28
25.00  100
26.89  31
28.11  28
32.50  34
35.00  19
38.57  15
40.46  16
44.42  18
50.09  22
60.26  26

Atomic structure:
```
data_Cr2BP3O12
_chemical_formula_sum 'Cr4 B2 P6 O24'
_symmetry_space_group_name_H-M 'P 1'
_symmetry_Int_Tables_number 1
_cell_length_a 8.086
_cell_length_b 8.086
_cell_length_c 7.528
_cell_angle_alpha 90.00
_cell_angle_beta 90.00
_cell_angle_gamma 120.00
loop_
_symmetry_equiv_pos_as_xyz
'x,y,z'
loop_
_atom_site_label
_atom_site_fract_x
_atom_site_fract_y
_atom_site_fract_z
_atom_site_occupancy
Cr1 0.333 0.667 0.062 1
Cr2 0.333 0.667 0.438 1
Cr3 0.667 0.333 0.562 1
Cr4 0.667 0.333 0.938 1
B1 0.000 0.000 0.250 1
B2 0.000 0.000 0.750 1
P1 0.050 0.364 0.750 1
P2 0.315 0.950 0.750 1
P3 0.364 0.315 0.250 1
P4 0.636 0.685 0.750 1
P5 0.685 0.050 0.250 1
P6 0.950 0.636 0.250 1
O1 0.052 0.863 0.250 1
O2 0.126 0.604 0.250 1
O3 0.137 0.189 0.250 1
O4 0.164 0.436 0.575 1
O5 0.164 0.436 0.925 1
O6 0.189 0.052 0.750 1
O7 0.272 0.836 0.575 1
O8 0.272 0.836 0.925 1
O9 0.396 0.522 0.250 1
O10 0.436 0.272 0.075 1
O11 0.436 0.272 0.425 1
O12 0.478 0.874 0.250 1
O13 0.522 0.126 0.750 1
O14 0.564 0.728 0.575 1
O15 0.564 0.728 0.925 1
O16 0.604 0.478 0.750 1
O17 0.728 0.164 0.075 1
O18 0.728 0.164 0.425 1
O19 0.811 0.948 0.250 1
O20 0.836 0.564 0.075 1
O21 0.836 0.564 0.425 1
O22 0.863 0.811 0.750 1
O23 0.874 0.396 0.750 1
O24 0.948 0.137 0.750 1
```

Record 4
Fe13O14: simulated XRD peak list (Cu Kα, 1.54184 Å), based on a crystal structure in the Materials Project, relaxed with GGA+U.

Largest 12 diffraction maxima, low angle first, 5 to 70 degrees two-theta:
2θ/deg  Rel. int.
13.89  3
17.20  2
21.91  2
26.04  3
26.70  2
27.99  2
28.20  5
35.48  16
35.83  46
41.50  100
59.91  28
60.38  28

Atomic structure:
```
data_Fe13O14
_chemical_formula_sum 'Fe13 O14'
_symmetry_space_group_name_H-M 'P 1'
_symmetry_Int_Tables_number 1
_cell_length_a 6.895
_cell_length_b 6.895
_cell_length_c 6.895
_cell_angle_alpha 72.06
_cell_angle_beta 72.06
_cell_angle_gamma 72.06
loop_
_symmetry_equiv_pos_as_xyz
'x,y,z'
loop_
_atom_site_label
_atom_site_fract_x
_atom_site_fract_y
_atom_site_fract_z
_atom_site_occupancy
Fe1 0.000 0.000 0.000 1
Fe2 0.087 0.780 0.638 1
Fe3 0.157 0.566 0.294 1
Fe4 0.220 0.362 0.913 1
Fe5 0.294 0.157 0.566 1
Fe6 0.362 0.913 0.220 1
Fe7 0.434 0.706 0.843 1
Fe8 0.566 0.294 0.157 1
Fe9 0.638 0.087 0.780 1
Fe10 0.706 0.843 0.434 1
Fe11 0.780 0.638 0.087 1
Fe12 0.843 0.434 0.706 1
Fe13 0.913 0.220 0.362 1
O1 0.027 0.897 0.310 1
O2 0.103 0.690 0.973 1
O3 0.162 0.464 0.612 1
O4 0.244 0.244 0.244 1
O5 0.310 0.027 0.897 1
O6 0.388 0.838 0.536 1
O7 0.464 0.612 0.162 1
O8 0.536 0.388 0.838 1
O9 0.612 0.162 0.464 1
O10 0.690 0.973 0.103 1
O11 0.756 0.756 0.756 1
O12 0.838 0.536 0.388 1
O13 0.897 0.310 0.027 1
O14 0.973 0.103 0.690 1
```

Record 5
V2P2O7: simulated XRD peak list (Cu Kα, 1.54184 Å), based on a crystal structure in the Materials Project, relaxed with GGA+U.

Largest 12 diffraction maxima, low angle first, 5 to 70 degrees two-theta:
2θ/deg  Rel. int.
17.04  13
28.19  57
28.67  100
30.56  65
34.05  24
34.48  22
41.08  24
43.85  17
49.27  15
52.77  13
55.85  23
60.10  11

Atomic structure:
```
data_V2P2O7
_chemical_formula_sum 'V2 P2 O7'
_symmetry_space_group_name_H-M 'P 1'
_symmetry_Int_Tables_number 1
_cell_length_a 5.448
_cell_length_b 5.448
_cell_length_c 4.583
_cell_angle_alpha 96.86
_cell_angle_beta 96.86
_cell_angle_gamma 104.81
loop_
_symmetry_equiv_pos_as_xyz
'x,y,z'
loop_
_atom_site_label
_atom_site_fract_x
_atom_site_fract_y
_atom_site_fract_z
_atom_site_occupancy
V1 0.185 0.815 0.000 1
V2 0.815 0.185 0.000 1
P1 0.282 0.282 0.591 1
P2 0.718 0.718 0.409 1
O1 0.122 0.420 0.772 1
O2 0.131 0.131 0.292 1
O3 0.420 0.122 0.772 1
O4 0.500 0.500 0.500 1
O5 0.580 0.878 0.228 1
O6 0.869 0.869 0.708 1
O7 0.878 0.580 0.228 1
```

Record 6
Y2MgMo2Cl2O8: simulated XRD peak list (Cu Kα, 1.54184 Å), based on a crystal structure in the Materials Project, relaxed with GGA+U.

Largest 12 diffraction maxima, low angle first, 5 to 70 degrees two-theta:
2θ/deg  Rel. int.
12.95  20
17.16  33
20.80  22
22.97  32
25.27  100
29.23  40
30.17  52
31.36  26
36.64  22
38.97  27
43.77  23
46.99  22

Atomic structure:
```
data_Y2MgMo2Cl2O8
_chemical_formula_sum 'Y2 Mg1 Mo2 Cl2 O8'
_symmetry_space_group_name_H-M 'P 1'
_symmetry_Int_Tables_number 1
_cell_length_a 6.297
_cell_length_b 6.297
_cell_length_c 6.906
_cell_angle_alpha 96.64
_cell_angle_beta 96.64
_cell_angle_gamma 68.07
loop_
_symmetry_equiv_pos_as_xyz
'x,y,z'
loop_
_atom_site_label
_atom_site_fract_x
_atom_site_fract_y
_atom_site_fract_z
_atom_site_occupancy
Y1 0.000 0.000 0.000 1
Y2 0.582 0.582 0.805 1
Mg1 0.289 0.289 0.857 1
Mo1 0.094 0.094 0.566 1
Mo2 0.410 0.410 0.223 1
Cl1 0.751 0.751 0.119 1
Cl2 0.841 0.841 0.650 1
O1 0.022 0.022 0.317 1
O2 0.235 0.235 0.131 1
O3 0.275 0.623 0.011 1
O4 0.276 0.276 0.565 1
O5 0.301 0.926 0.771 1
O6 0.521 0.521 0.449 1
O7 0.623 0.275 0.011 1
O8 0.926 0.301 0.771 1
```

Record 7
Mn3NbO8: simulated XRD peak list (Cu Kα, 1.54184 Å), based on a crystal structure in the Materials Project, relaxed with GGA+U.

Largest 12 diffraction maxima, low angle first, 5 to 70 degrees two-theta:
2θ/deg  Rel. int.
19.03  23
19.77  100
25.83  32
33.72  35
35.95  44
36.36  35
40.16  22
45.90  30
53.11  13
55.93  21
61.49  30
62.82  26

Atomic structure:
```
data_Mn3NbO8
_chemical_formula_sum 'Mn6 Nb2 O16'
_symmetry_space_group_name_H-M 'P 1'
_symmetry_Int_Tables_number 1
_cell_length_a 5.917
_cell_length_b 5.917
_cell_length_c 9.326
_cell_angle_alpha 90.00
_cell_angle_beta 90.00
_cell_angle_gamma 120.00
loop_
_symmetry_equiv_pos_as_xyz
'x,y,z'
loop_
_atom_site_label
_atom_site_fract_x
_atom_site_fract_y
_atom_site_fract_z
_atom_site_occupancy
Mn1 0.168 0.336 0.000 1
Mn2 0.168 0.832 0.000 1
Mn3 0.336 0.168 0.500 1
Mn4 0.664 0.832 0.000 1
Mn5 0.832 0.168 0.500 1
Mn6 0.832 0.664 0.500 1
Nb1 0.333 0.667 0.284 1
Nb2 0.667 0.333 0.784 1
O1 0.000 0.000 0.095 1
O2 0.000 0.000 0.595 1
O3 0.041 0.521 0.122 1
O4 0.167 0.334 0.383 1
O5 0.167 0.833 0.383 1
O6 0.333 0.667 0.899 1
O7 0.334 0.167 0.883 1
O8 0.479 0.521 0.122 1
O9 0.479 0.959 0.122 1
O10 0.521 0.041 0.622 1
O11 0.521 0.479 0.622 1
O12 0.666 0.833 0.383 1
O13 0.667 0.333 0.399 1
O14 0.833 0.167 0.883 1
O15 0.833 0.666 0.883 1
O16 0.959 0.479 0.622 1
```

Record 8
BaCaNi4O8: simulated XRD peak list (Cu Kα, 1.54184 Å), based on a crystal structure in the Materials Project, relaxed with GGA+U.

Largest 12 diffraction maxima, low angle first, 5 to 70 degrees two-theta:
2θ/deg  Rel. int.
11.22  26
22.26  8
29.76  100
33.52  78
35.46  26
39.41  7
45.43  30
46.02  13
57.62  29
58.13  33
59.93  23
69.14  8

Atomic structure:
```
data_BaCaNi4O8
_chemical_formula_sum 'Ba1 Ca1 Ni4 O8'
_symmetry_space_group_name_H-M 'P 1'
_symmetry_Int_Tables_number 1
_cell_length_a 5.347
_cell_length_b 5.347
_cell_length_c 7.888
_cell_angle_alpha 90.00
_cell_angle_beta 90.00
_cell_angle_gamma 120.00
loop_
_symmetry_equiv_pos_as_xyz
'x,y,z'
loop_
_atom_site_label
_atom_site_fract_x
_atom_site_fract_y
_atom_site_fract_z
_atom_site_occupancy
Ba1 0.000 0.000 0.000 1
Ca1 0.000 0.000 0.500 1
Ni1 0.333 0.667 0.234 1
Ni2 0.333 0.667 0.766 1
Ni3 0.667 0.333 0.234 1
Ni4 0.667 0.333 0.766 1
O1 0.000 0.335 0.304 1
O2 0.000 0.665 0.696 1
O3 0.333 0.667 0.000 1
O4 0.335 0.000 0.304 1
O5 0.335 0.335 0.696 1
O6 0.665 0.000 0.696 1
O7 0.665 0.665 0.304 1
O8 0.667 0.333 0.000 1
```

Record 9
Li9Mn2Co5O16: simulated XRD peak list (Cu Kα, 1.54184 Å), based on a crystal structure in the Materials Project, relaxed with GGA+U.

Largest 12 diffraction maxima, low angle first, 5 to 70 degrees two-theta:
2θ/deg  Rel. int.
18.34  100
35.29  16
36.15  13
36.78  12
42.53  30
43.78  27
44.63  25
47.61  9
62.66  8
62.70  8
62.98  7
63.66  14

Atomic structure:
```
data_Li9Mn2Co5O16
_chemical_formula_sum 'Li9 Mn2 Co5 O16'
_symmetry_space_group_name_H-M 'P 1'
_symmetry_Int_Tables_number 1
_cell_length_a 5.116
_cell_length_b 7.663
_cell_length_c 7.824
_cell_angle_alpha 80.05
_cell_angle_beta 84.86
_cell_angle_gamma 71.12
loop_
_symmetry_equiv_pos_as_xyz
'x,y,z'
loop_
_atom_site_label
_atom_site_fract_x
_atom_site_fract_y
_atom_site_fract_z
_atom_site_occupancy
Li1 0.000 0.000 0.000 1
Li2 0.000 0.246 0.242 1
Li3 0.001 0.497 0.488 1
Li4 0.500 0.935 0.179 1
Li5 0.991 0.626 0.121 1
Li6 0.992 0.874 0.359 1
Li7 0.993 0.749 0.743 1
Li8 0.996 0.125 0.616 1
Li9 0.997 0.374 0.869 1
Mn1 0.488 0.063 0.807 1
Mn2 0.499 0.686 0.935 1
Co1 0.481 0.445 0.677 1
Co2 0.494 0.817 0.542 1
Co3 0.496 0.187 0.429 1
Co4 0.500 0.560 0.303 1
Co5 0.510 0.295 0.061 1
O1 0.248 0.652 0.532 1
O2 0.256 0.273 0.656 1
O3 0.266 0.033 0.409 1
O4 0.269 0.904 0.783 1
O5 0.270 0.151 0.005 1
O6 0.279 0.758 0.141 1
O7 0.280 0.397 0.275 1
O8 0.280 0.530 0.903 1
O9 0.709 0.608 0.719 1
O10 0.710 0.348 0.459 1
O11 0.714 0.218 0.828 1
O12 0.714 0.985 0.591 1
O13 0.722 0.707 0.345 1
O14 0.723 0.845 0.947 1
O15 0.739 0.477 0.074 1
O16 0.746 0.102 0.204 1
```

Record 10
Li3MgNi4O8: simulated XRD peak list (Cu Kα, 1.54184 Å), based on a crystal structure in the Materials Project, relaxed with GGA+U.

Largest 11 diffraction maxima, low angle first, 5 to 70 degrees two-theta:
2θ/deg  Rel. int.
18.52  100
21.41  2
30.46  1
35.87  46
37.54  34
43.62  100
47.77  17
49.08  1
57.72  17
63.39  56
66.65  15

Atomic structure:
```
data_Li3MgNi4O8
_chemical_formula_sum 'Li3 Mg1 Ni4 O8'
_symmetry_space_group_name_H-M 'P 1'
_symmetry_Int_Tables_number 1
_cell_length_a 5.868
_cell_length_b 5.868
_cell_length_c 5.868
_cell_angle_alpha 60.03
_cell_angle_beta 60.03
_cell_angle_gamma 60.03
loop_
_symmetry_equiv_pos_as_xyz
'x,y,z'
loop_
_atom_site_label
_atom_site_fract_x
_atom_site_fract_y
_atom_site_fract_z
_atom_site_occupancy
Li1 0.000 0.500 0.500 1
Li2 0.500 0.000 0.500 1
Li3 0.500 0.500 0.000 1
Mg1 0.000 0.000 0.000 1
Ni1 0.000 0.000 0.500 1
Ni2 0.000 0.500 0.000 1
Ni3 0.500 0.000 0.000 1
Ni4 0.500 0.500 0.500 1
O1 0.235 0.750 0.750 1
O2 0.243 0.243 0.243 1
O3 0.250 0.250 0.765 1
O4 0.250 0.765 0.250 1
O5 0.750 0.235 0.750 1
O6 0.750 0.750 0.235 1
O7 0.757 0.757 0.757 1
O8 0.765 0.250 0.250 1
```